This entry pairs a crystal structure of Nb3Se4 with its simulated powder XRD pattern. Radiation: λ = 1.5418 Å (Cu Kα). Structure: a DFT-relaxed cell (PBE, the Materials Project).
Peak positions follow from Bragg's law for the DFT cell and can differ from measured ones.

Crystal structure
```
Nb3Se4
1.0
10.174 0.000 0.000
-5.087 8.811 0.000
0.000 0.000 3.483
Nb Se
6 8
Direct
0.108 0.620 0.250 Nb
0.380 0.487 0.250 Nb
0.487 0.108 0.750 Nb
0.513 0.892 0.250 Nb
0.620 0.513 0.750 Nb
0.892 0.380 0.750 Nb
0.062 0.342 0.250 Se
0.281 0.938 0.250 Se
0.333 0.667 0.750 Se
0.342 0.281 0.750 Se
0.658 0.719 0.250 Se
0.667 0.333 0.250 Se
0.719 0.062 0.750 Se
0.938 0.658 0.750 Se
```

Main lines, by angle (2θ = 10–90°):
2θ = 10.0°, rel. 100, (1 0 0); 2θ = 32.8°, rel. 30, (2 0 1); 2θ = 36.8°, rel. 44, (1 3 0); 2θ = 37.4°, rel. 79, (1 2 1); 2θ = 44.1°, rel. 31, (2 2 1); 2θ = 47.3°, rel. 16, (4 1 0); 2θ = 52.3°, rel. 15, (2 3 1); 2θ = 52.5°, rel. 14, (0 0 2); 2θ = 65.9°, rel. 15, (1 3 2); 2θ = 81.3°, rel. 23, (5 3 1)

***

This entry pairs a crystal structure of Nb2Se3 with its simulated powder XRD pattern. Radiation: λ = 1.5418 Å (Cu Kα). Structure: a DFT-relaxed cell (PBE, the Materials Project).
Peak positions follow from Bragg's law for the DFT cell and can differ from measured ones.

Crystal structure
```
Nb2Se3
1.0
3.454 0.000 0.000
-1.727 2.991 0.000
0.000 0.000 13.706
Nb Se
2 3
Direct
0.000 0.000 0.000 Nb
0.000 0.000 0.256 Nb
0.333 0.667 0.877 Se
0.667 0.333 0.132 Se
0.667 0.333 0.381 Se
```

Main lines, by angle (2θ = 10–90°):
2θ = 12.9°, rel. 21, (0 0 2); 2θ = 30.6°, rel. 69, (1 0 1); 2θ = 35.9°, rel. 77, (1 0 3); 2θ = 40.0°, rel. 100, (0 1 4); 2θ = 44.9°, rel. 36, (0 1 5); 2θ = 53.0°, rel. 40, (1 1 0); 2θ = 53.5°, rel. 31, (0 0 8); 2θ = 65.7°, rel. 13, (0 2 3); 2θ = 68.5°, rel. 20, (2 0 4); 2θ = 78.7°, rel. 24, (1 1 8)

***

This entry pairs a crystal structure of Nb2Se3 with its simulated powder XRD pattern. Radiation: λ = 1.5418 Å (Cu Kα). Structure: a DFT-relaxed cell (PBE, the Materials Project).
Peak positions follow from Bragg's law for the DFT cell and can differ from measured ones.

Crystal structure
```
Nb2Se3
1.0
6.637 0.000 0.000
0.000 3.467 0.000
-2.277 0.000 9.028
Nb Se
4 6
Direct
0.114 0.250 0.135 Nb
0.319 0.250 0.502 Nb
0.681 0.750 0.498 Nb
0.886 0.750 0.865 Nb
0.028 0.750 0.343 Se
0.271 0.750 0.987 Se
0.476 0.750 0.703 Se
0.524 0.250 0.297 Se
0.729 0.250 0.013 Se
0.972 0.250 0.657 Se
```

Main lines, by angle (2θ = 10–90°):
2θ = 14.8°, rel. 58, (1 0 -1); 2θ = 29.9°, rel. 34, (2 0 -2); 2θ = 32.0°, rel. 73, (1 1 1); 2θ = 32.6°, rel. 34, (0 1 2); 2θ = 33.5°, rel. 46, (1 1 -2); 2θ = 37.4°, rel. 48, (1 1 2); 2θ = 38.1°, rel. 49, (2 0 2); 2θ = 39.5°, rel. 100, (1 1 -3); 2θ = 48.8°, rel. 67, (3 1 -1); 2θ = 52.8°, rel. 40, (0 2 0)